No. 1
Calculated X-ray diffraction stick pattern
Compound: Pu3Ga9Ir2
Radiation: Cu Kα, 1.54184 Å
Structure: a DFT-relaxed cell (GGA-PBE, Alexandria)
Intensities are scaled so that the largest is 100.

Structure:
```
data_Pu3Ga9Ir2
_space_group_name_H-M_alt 'I m m m'
_space_group_IT_number 71
_space_group_name_Hall '-I 2 2'
_cell_length_a 4.330
_cell_length_b 9.527
_cell_length_c 12.380
_cell_angle_alpha 90.00
_cell_angle_beta 90.00
_cell_angle_gamma 90.00
loop_
_atom_site_label
_atom_site_type_symbol
_atom_site_fract_x
_atom_site_fract_y
_atom_site_fract_z
Pu1 Pu 0.000 0.000 0.000
Pu2 Pu 0.000 0.000 0.298
Ga1 Ga 0.000 0.281 0.135
Ga2 Ga 0.000 0.364 0.347
Ga3 Ga 0.000 0.500 0.000
Ir1 Ir 0.000 0.174 0.500
```

Main lines, by angle (10° ≤ 2θ ≤ 90°):
2θ 22.55, d = 3.942 Å, I 39.7; 2θ 35.04, d = 2.561 Å, I 19.5; 2θ 35.47, d = 2.531 Å, I 100.0; 2θ 35.68, d = 2.517 Å, I 42.7; 2θ 36.92, d = 2.434 Å, I 38.7; 2θ 38.03, d = 2.366 Å, I 35.4; 2θ 41.72, d = 2.165 Å, I 41.8; 2θ 44.00, d = 2.058 Å, I 16.6; 2θ 56.03, d = 1.641 Å, I 24.0; 2θ 69.69, d = 1.349 Å, I 20.1

No. 2
Calculated X-ray diffraction stick pattern
Compound: K2CeTm2S6
Radiation: Cu Kα, 1.54184 Å
Structure: a DFT-relaxed cell (GGA-PBE, Alexandria)
Intensities are scaled so that the largest is 100.

Structure:
```
data_K2CeTm2S6
_space_group_name_H-M_alt 'C 1 2/m 1'
_space_group_IT_number 12
_space_group_name_Hall '-C 2y'
_cell_length_a 6.916
_cell_length_b 12.002
_cell_length_c 7.862
_cell_angle_alpha 90.00
_cell_angle_beta 107.15
_cell_angle_gamma 90.00
loop_
_atom_site_label
_atom_site_type_symbol
_atom_site_fract_x
_atom_site_fract_y
_atom_site_fract_z
K1 K 0.000 0.167 0.000
Ce1 Ce 0.000 0.000 0.500
Tm1 Tm 0.000 0.334 0.500
S1 S 0.231 0.169 0.694
S2 S 0.231 0.500 0.694
```

Main lines, by angle (10° ≤ 2θ ≤ 90°):
2θ 11.78, d = 7.512 Å, I 100.0; 2θ 23.69, d = 3.756 Å, I 15.1; 2θ 26.04, d = 3.421 Å, I 30.2; 2θ 26.95, d = 3.309 Å, I 26.3; 2θ 30.30, d = 2.949 Å, I 83.8; 2θ 38.18, d = 2.357 Å, I 23.9; 2θ 41.32, d = 2.185 Å, I 29.5; 2θ 45.38, d = 1.998 Å, I 27.8; 2θ 47.05, d = 1.931 Å, I 19.6; 2θ 51.81, d = 1.765 Å, I 15.6

No. 3
Calculated X-ray diffraction stick pattern
Compound: SrTbZnAg
Radiation: Cu Kα, 1.54184 Å
Structure: a DFT-relaxed cell (GGA-PBE, Alexandria)
Intensities are scaled so that the largest is 100.

Structure:
```
data_SrTbZnAg
_space_group_name_H-M_alt 'F -4 3 m'
_space_group_IT_number 216
_space_group_name_Hall 'F -4 2 3'
_cell_length_a 7.496
_cell_length_b 7.496
_cell_length_c 7.496
_cell_angle_alpha 90.00
_cell_angle_beta 90.00
_cell_angle_gamma 90.00
loop_
_atom_site_label
_atom_site_type_symbol
_atom_site_fract_x
_atom_site_fract_y
_atom_site_fract_z
Sr1 Sr 0.000 0.000 0.000
Tb1 Tb 0.000 0.000 0.500
Zn1 Zn 0.250 0.250 0.250
Ag1 Ag 0.250 0.250 0.750
```

Main lines, by angle (10° ≤ 2θ ≤ 90°):
2θ 20.52, d = 4.328 Å, I 8.1; 2θ 23.74, d = 3.748 Å, I 2.4; 2θ 33.82, d = 2.650 Å, I 100.0; 2θ 39.89, d = 2.260 Å, I 4.4; 2θ 48.58, d = 1.874 Å, I 17.7; 2θ 53.27, d = 1.720 Å, I 1.9; 2θ 60.51, d = 1.530 Å, I 36.1; 2θ 64.61, d = 1.443 Å, I 1.4; 2θ 71.15, d = 1.325 Å, I 11.0; 2θ 81.15, d = 1.185 Å, I 15.4

No. 4
Calculated X-ray diffraction stick pattern
Compound: Ca3Bi3N5
Radiation: Cu Kα, 1.54184 Å
Structure: a DFT-relaxed cell (GGA-PBE, Alexandria)
Intensities are scaled so that the largest is 100.

Structure:
```
data_Ca3Bi3N5
_space_group_name_H-M_alt 'P -1'
_space_group_IT_number 2
_space_group_name_Hall '-P 1'
_cell_length_a 6.550
_cell_length_b 7.218
_cell_length_c 9.353
_cell_angle_alpha 102.49
_cell_angle_beta 106.98
_cell_angle_gamma 100.02
loop_
_atom_site_label
_atom_site_type_symbol
_atom_site_fract_x
_atom_site_fract_y
_atom_site_fract_z
Ca1 Ca 0.168 0.337 0.262
Ca2 Ca 0.180 0.198 0.589
Ca3 Ca 0.243 0.518 0.955
Bi1 Bi 0.243 0.055 0.945
Bi2 Bi 0.310 0.845 0.281
Bi3 Bi 0.315 0.676 0.627
N1 N 0.038 0.637 0.294
N2 N 0.059 0.812 0.023
N3 N 0.117 0.892 0.677
N4 N 0.393 0.168 0.418
N5 N 0.476 0.395 0.154
```

Main lines, by angle (10° ≤ 2θ ≤ 90°):
2θ 12.99, d = 6.816 Å, I 40.8; 2θ 19.15, d = 4.634 Å, I 39.0; 2θ 27.90, d = 3.198 Å, I 84.4; 2θ 28.62, d = 3.119 Å, I 64.4; 2θ 29.48, d = 3.029 Å, I 68.0; 2θ 29.63, d = 3.015 Å, I 84.1; 2θ 30.86, d = 2.898 Å, I 100.0; 2θ 31.28, d = 2.859 Å, I 37.3; 2θ 31.90, d = 2.805 Å, I 82.3; 2θ 35.03, d = 2.561 Å, I 47.5

No. 5
Calculated X-ray diffraction stick pattern
Compound: AcTbTlZn
Radiation: Cu Kα, 1.54184 Å
Structure: a DFT-relaxed cell (GGA-PBE, Alexandria)
Intensities are scaled so that the largest is 100.

Structure:
```
data_AcTbTlZn
_space_group_name_H-M_alt 'P 4 m m'
_space_group_IT_number 99
_space_group_name_Hall 'P 4 -2'
_cell_length_a 3.827
_cell_length_b 3.827
_cell_length_c 7.841
_cell_angle_alpha 90.00
_cell_angle_beta 90.00
_cell_angle_gamma 90.00
loop_
_atom_site_label
_atom_site_type_symbol
_atom_site_fract_x
_atom_site_fract_y
_atom_site_fract_z
Ac1 Ac 0.000 0.000 0.000
Tb1 Tb 0.000 0.000 0.457
Tl1 Tl 0.500 0.500 0.697
Zn1 Zn 0.500 0.500 0.264
```

Main lines, by angle (10° ≤ 2θ ≤ 90°):
2θ 25.91, d = 3.439 Å, I 21.3; 2θ 32.70, d = 2.739 Å, I 100.0; 2θ 33.10, d = 2.706 Å, I 54.2; 2θ 47.52, d = 1.914 Å, I 20.0; 2θ 48.42, d = 1.880 Å, I 10.2; 2θ 58.10, d = 1.588 Å, I 13.7; 2θ 58.88, d = 1.569 Å, I 38.6; 2θ 68.53, d = 1.369 Å, I 8.4; 2θ 78.92, d = 1.213 Å, I 9.3; 2θ 79.14, d = 1.210 Å, I 9.0

No. 6
Calculated X-ray diffraction stick pattern
Compound: Dy5Ho7
Radiation: Cu Kα, 1.54184 Å
Structure: a DFT-relaxed cell (GGA-PBE, Alexandria)
Intensities are scaled so that the largest is 100.

Structure:
```
data_Dy5Ho7
_space_group_name_H-M_alt 'C 1 2/m 1'
_space_group_IT_number 12
_space_group_name_Hall '-C 2y'
_cell_length_a 18.378
_cell_length_b 3.536
_cell_length_c 12.967
_cell_angle_alpha 90.00
_cell_angle_beta 118.22
_cell_angle_gamma 90.00
loop_
_atom_site_label
_atom_site_type_symbol
_atom_site_fract_x
_atom_site_fract_y
_atom_site_fract_z
Dy1 Dy 0.000 0.000 0.000
Dy2 Dy 0.167 0.000 0.500
Dy3 Dy 0.195 0.500 0.750
Ho1 Ho 0.000 0.500 0.500
Ho2 Ho 0.028 0.000 0.750
Ho3 Ho 0.139 0.500 0.250
Ho4 Ho 0.167 0.500 0.000
```

Main lines, by angle (10° ≤ 2θ ≤ 90°):
2θ 30.21, d = 2.958 Å, I 42.8; 2θ 31.31, d = 2.856 Å, I 34.6; 2θ 33.19, d = 2.699 Å, I 100.0; 2θ 37.69, d = 2.387 Å, I 23.7; 2θ 51.70, d = 1.768 Å, I 25.6; 2θ 56.94, d = 1.617 Å, I 21.6; 2θ 61.70, d = 1.503 Å, I 30.1; 2θ 62.83, d = 1.479 Å, I 16.0; 2θ 85.62, d = 1.134 Å, I 13.9; 2θ 87.87, d = 1.111 Å, I 11.7

No. 7
Calculated X-ray diffraction stick pattern
Compound: Hf3Ti6Sb
Radiation: Cu Kα, 1.54184 Å
Structure: a DFT-relaxed cell (GGA-PBE, Alexandria)
Intensities are scaled so that the largest is 100.

Structure:
```
data_Hf3Ti6Sb
_space_group_name_H-M_alt 'R 3 m'
_space_group_IT_number 160
_space_group_name_Hall 'R 3 -2"'
_cell_length_a 11.5573
_cell_length_b 11.5573
_cell_length_c 5.1941
_cell_angle_alpha 90.00
_cell_angle_beta 90.00
_cell_angle_gamma 120.00
loop_
_atom_site_label
_atom_site_type_symbol
_atom_site_fract_x
_atom_site_fract_y
_atom_site_fract_z
Hf1 Hf 0.0111 0.5055 0.0000
Ti1 Ti 0.0766 0.1532 0.8255
Ti2 Ti 0.2010 0.4020 0.8313
Sb1 Sb 0.0000 0.0000 0.3335
```

Main lines, by angle (10° ≤ 2θ ≤ 90°):
2θ 24.70, d = 3.604 Å, I 44.0; 2θ 30.95, d = 2.889 Å, I 100.0; 2θ 35.72, d = 2.514 Å, I 23.7; 2θ 36.71, d = 2.448 Å, I 41.0; 2θ 39.08, d = 2.305 Å, I 43.7; 2θ 40.00, d = 2.254 Å, I 29.6; 2θ 42.21, d = 2.141 Å, I 18.5; 2θ 43.07, d = 2.100 Å, I 27.8; 2θ 51.41, d = 1.777 Å, I 18.2; 2θ 62.54, d = 1.485 Å, I 22.7

No. 8
Calculated X-ray diffraction stick pattern
Compound: K2CeHgCl6
Radiation: Cu Kα, 1.54184 Å
Structure: a DFT-relaxed cell (GGA-PBE, Alexandria)
Intensities are scaled so that the largest is 100.

Structure:
```
data_K2CeHgCl6
_space_group_name_H-M_alt 'R 3'
_space_group_IT_number 146
_space_group_name_Hall 'R 3'
_cell_length_a 7.8527
_cell_length_b 7.8527
_cell_length_c 21.8056
_cell_angle_alpha 90.00
_cell_angle_beta 90.00
_cell_angle_gamma 120.00
loop_
_atom_site_label
_atom_site_type_symbol
_atom_site_fract_x
_atom_site_fract_y
_atom_site_fract_z
K1 K 0.0000 0.0000 0.0000
K2 K 0.0000 0.0000 0.4760
Ce1 Ce 0.0000 0.0000 0.6679
Hg1 Hg 0.0000 0.0000 0.1797
Cl1 Cl 0.0348 0.7528 0.5938
Cl2 Cl 0.0572 0.3781 0.4013
```

Main lines, by angle (10° ≤ 2θ ≤ 90°):
2θ 15.36, d = 5.770 Å, I 100.0; 2θ 20.88, d = 4.254 Å, I 60.5; 2θ 22.65, d = 3.926 Å, I 46.5; 2θ 25.79, d = 3.455 Å, I 20.2; 2θ 27.48, d = 3.246 Å, I 20.2; 2θ 31.00, d = 2.885 Å, I 20.7; 2θ 33.60, d = 2.667 Å, I 70.0; 2θ 35.89, d = 2.502 Å, I 19.2; 2θ 38.73, d = 2.325 Å, I 31.5; 2θ 39.76, d = 2.267 Å, I 29.0

No. 9
Calculated X-ray diffraction stick pattern
Compound: In7Cu10
Radiation: Cu Kα, 1.54184 Å
Structure: a DFT-relaxed cell (GGA-PBE, Alexandria)
Intensities are scaled so that the largest is 100.

Structure:
```
data_In7Cu10
_space_group_name_H-M_alt 'C 1 2/m 1'
_space_group_IT_number 12
_space_group_name_Hall '-C 2y'
_cell_length_a 14.026
_cell_length_b 12.036
_cell_length_c 6.748
_cell_angle_alpha 90.00
_cell_angle_beta 90.96
_cell_angle_gamma 90.00
loop_
_atom_site_label
_atom_site_type_symbol
_atom_site_fract_x
_atom_site_fract_y
_atom_site_fract_z
In1 In 0.035 0.000 0.283
In2 In 0.070 0.275 0.197
In3 In 0.156 0.224 0.615
In4 In 0.167 0.500 0.498
In5 In 0.237 0.500 0.067
Cu1 Cu 0.000 0.390 0.500
Cu2 Cu 0.049 0.500 0.166
Cu3 Cu 0.095 0.112 0.941
Cu4 Cu 0.107 0.391 0.844
Cu5 Cu 0.149 0.000 0.607
Cu6 Cu 0.204 0.113 0.274
Cu7 Cu 0.250 0.250 0.000
```

Main lines, by angle (10° ≤ 2θ ≤ 90°):
2θ 29.55, d = 3.023 Å, I 24.6; 2θ 32.39, d = 2.764 Å, I 21.7; 2θ 40.26, d = 2.240 Å, I 36.3; 2θ 41.08, d = 2.197 Å, I 75.3; 2θ 41.46, d = 2.178 Å, I 42.6; 2θ 41.62, d = 2.170 Å, I 100.0; 2θ 41.98, d = 2.152 Å, I 28.7; 2θ 42.23, d = 2.140 Å, I 39.9; 2θ 42.41, d = 2.132 Å, I 97.4; 2θ 85.32, d = 1.138 Å, I 22.8

No. 10
Calculated X-ray diffraction stick pattern
Compound: Ce6AlOs2
Radiation: Cu Kα, 1.54184 Å
Structure: a DFT-relaxed cell (GGA-PBE, Alexandria)
Intensities are scaled so that the largest is 100.

Structure:
```
data_Ce6AlOs2
_space_group_name_H-M_alt 'I m m m'
_space_group_IT_number 71
_space_group_name_Hall '-I 2 2'
_cell_length_a 9.165
_cell_length_b 9.201
_cell_length_c 10.699
_cell_angle_alpha 90.00
_cell_angle_beta 90.00
_cell_angle_gamma 90.00
loop_
_atom_site_label
_atom_site_type_symbol
_atom_site_fract_x
_atom_site_fract_y
_atom_site_fract_z
Ce1 Ce 0.000 0.200 0.169
Ce2 Ce 0.185 0.209 0.500
Ce3 Ce 0.195 0.500 0.258
Al1 Al 0.000 0.500 0.000
Al2 Al 0.000 0.500 0.500
Os1 Os 0.000 0.000 0.362
Os2 Os 0.176 0.000 0.000
```

Main lines, by angle (10° ≤ 2θ ≤ 90°):
2θ 13.64, d = 6.493 Å, I 51.5; 2θ 32.25, d = 2.775 Å, I 29.1; 2θ 33.26, d = 2.694 Å, I 62.5; 2θ 35.20, d = 2.549 Å, I 59.7; 2θ 36.27, d = 2.477 Å, I 100.0; 2θ 38.72, d = 2.325 Å, I 32.7; 2θ 38.99, d = 2.310 Å, I 39.1; 2θ 39.16, d = 2.300 Å, I 24.5; 2θ 60.23, d = 1.537 Å, I 20.3; 2θ 61.31, d = 1.512 Å, I 24.6

No. 11
Calculated X-ray diffraction stick pattern
Compound: NaHoTl2Br6
Radiation: Cu Kα, 1.54184 Å
Structure: a DFT-relaxed cell (GGA-PBE, Alexandria)
Intensities are scaled so that the largest is 100.

Structure:
```
data_NaHoTl2Br6
_space_group_name_H-M_alt 'P 1 21/c 1'
_space_group_IT_number 14
_space_group_name_Hall '-P 2ybc'
_cell_length_a 7.669
_cell_length_b 8.120
_cell_length_c 13.373
_cell_angle_alpha 90.00
_cell_angle_beta 124.21
_cell_angle_gamma 90.00
loop_
_atom_site_label
_atom_site_type_symbol
_atom_site_fract_x
_atom_site_fract_y
_atom_site_fract_z
Na1 Na 0.000 0.000 0.000
Ho1 Ho 0.500 0.000 0.500
Tl1 Tl 0.220 0.078 0.746
Br1 Br 0.155 0.188 0.452
Br2 Br 0.264 0.711 0.448
Br3 Br 0.362 0.025 0.258
```

Main lines, by angle (10° ≤ 2θ ≤ 90°):
2θ 13.53, d = 6.545 Å, I 59.8; 2θ 22.54, d = 3.945 Å, I 82.8; 2θ 22.76, d = 3.907 Å, I 85.3; 2θ 26.85, d = 3.320 Å, I 68.5; 2θ 26.99, d = 3.303 Å, I 49.1; 2θ 27.25, d = 3.273 Å, I 62.2; 2θ 32.11, d = 2.788 Å, I 100.0; 2θ 32.38, d = 2.765 Å, I 87.4; 2θ 36.11, d = 2.487 Å, I 84.1; 2θ 40.23, d = 2.242 Å, I 57.1

No. 12
Calculated X-ray diffraction stick pattern
Compound: BaBiPt5
Radiation: Cu Kα, 1.54184 Å
Structure: a DFT-relaxed cell (GGA-PBE, Alexandria)
Intensities are scaled so that the largest is 100.

Structure:
```
data_BaBiPt5
_space_group_name_H-M_alt 'P n m a'
_space_group_IT_number 62
_space_group_name_Hall '-P 2ac 2n'
_cell_length_a 8.995
_cell_length_b 5.750
_cell_length_c 11.375
_cell_angle_alpha 90.00
_cell_angle_beta 90.00
_cell_angle_gamma 90.00
loop_
_atom_site_label
_atom_site_type_symbol
_atom_site_fract_x
_atom_site_fract_y
_atom_site_fract_z
Ba1 Ba 0.247 0.250 0.066
Bi1 Bi 0.145 0.750 0.868
Pt1 Pt 0.083 0.502 0.322
Pt2 Pt 0.092 0.750 0.112
Pt3 Pt 0.098 0.250 0.526
Pt4 Pt 0.160 0.250 0.763
```

Main lines, by angle (10° ≤ 2θ ≤ 90°):
2θ 19.92, d = 4.457 Å, I 17.7; 2θ 31.11, d = 2.875 Å, I 16.0; 2θ 33.04, d = 2.711 Å, I 24.2; 2θ 34.65, d = 2.589 Å, I 61.6; 2θ 37.98, d = 2.369 Å, I 38.1; 2θ 40.66, d = 2.219 Å, I 100.0; 2θ 40.91, d = 2.206 Å, I 34.8; 2θ 57.65, d = 1.599 Å, I 16.8; 2θ 60.05, d = 1.541 Å, I 13.5; 2θ 61.92, d = 1.499 Å, I 17.0